For Tm3S4Br, a structure optimized by DFT (PBE) gives the theoretical XRD peak list in this record (Cu Ka).
Intensities are scaled so that the largest is 100.

Main lines, by intensity (2θ = 10–90°):
| 2θ/deg | Rel. int. |
| --- | --- |
| 19.7 | 100 |
| 26.6 | 97 |
| 38.4 | 95 |
| 40.4 | 93 |
| 22.6 | 86 |
| 37.2 | 82 |
| 46.3 | 74 |
| 24.4 | 73 |
| 13.7 | 61 |
| 26.0 | 53 |

Crystal structure
```
data_Tm3S4Br
_space_group_name_H-M_alt 'C 1 c 1'
_space_group_IT_number 9
_cell_length_a 13.7891
_cell_length_b 6.8498
_cell_length_c 9.5952
_cell_angle_alpha 90.00
_cell_angle_beta 110.72
_cell_angle_gamma 90.00
loop_
_space_group_symop_operation_xyz
'x,y,z'
'x,-y,z+1/2'
'x+1/2,y+1/2,z'
'x+1/2,-y+1/2,z+1/2'
loop_
_atom_site_label
_atom_site_fract_x
_atom_site_fract_y
_atom_site_fract_z
_atom_site_occupancy
Tm1 0.0000 0.0056 0.0000 1
Tm2 0.0931 0.4862 0.1892 1
Tm3 0.3652 0.0200 0.2791 1
S1 0.0578 0.3391 0.4288 1
S2 0.1780 0.1597 0.1473 1
S3 0.4028 0.1716 0.5505 1
S4 0.4848 0.3060 0.2400 1
Br1 0.2896 0.3438 0.8485 1
```